Diffraction record for BaAgO2. The XRD peak list is simulated, not measured: it uses the PBE geometry in the Materials Project and λ = 1.5418 Å (Cu Kα).

Main lines, in order of rising 2θ (10 to 90 degrees two-theta):
2theta	I/Imax	hkl
28.9	100	0 2 1
29.4	80	2 2 0
32.5	46	2 0 -1
33.0	44	2 0 1
35.9	38	0 4 0
49.2	26	2 4 -1

Crystal structure
Unit cell a=7.645 b=10.016 c=3.917 alpha=90.00 beta=90.83 gamma=90.00
Fractional coordinates of all 16 atoms:
Ba 0.250 0.250 0.000
Ba 0.250 0.750 0.000
Ba 0.750 0.250 0.000
Ba 0.750 0.750 0.000
Ag 0.000 0.000 0.500
Ag 0.000 0.500 0.500
Ag 0.500 0.000 0.500
Ag 0.500 0.500 0.500
O 0.000 0.206 0.500
O 0.000 0.794 0.500
O 0.248 0.500 0.273
O 0.252 0.000 0.727
O 0.500 0.294 0.500
O 0.500 0.706 0.500
O 0.748 0.000 0.273
O 0.752 0.500 0.727